Entry 1:
The following is a theoretical PXRD pattern of Li2Nb2Pb. It was derived from a structure optimized by DFT (PBE), using CuKα.
Intensities are scaled so that the largest is 100.

Top 10 peaks for 2θ from 10° to 90°, by angle:
2θ/deg  I (rel.)
16.0  32
22.7  100
25.4  41
28.9  81
32.3  37
36.3  97
37.0  66
38.8  33
47.0  89
68.2  45

Unit cell a=7.8282 b=7.8282 c=3.0939 alpha=90.00 beta=90.00 gamma=90.00
Space group P4/mbm (No. 127)
One atom of each set of equivalent atoms:
Li 0.1846 0.3154 0.0000 x4
Nb 0.1126 0.6126 0.5000 x4
Pb 0.0000 0.0000 0.5000 x2



Entry 2:
The following is a theoretical PXRD pattern of LiNbPt3. It was derived from a structure optimized by DFT (PBE), using CuKα.
Intensities are scaled so that the largest is 100.

Top 10 peaks for 2θ from 10° to 90°, by angle:
2θ/deg  I (rel.)
17.8  100
22.1  88
38.2  45
40.3  88
40.6  45
43.2  42
44.6  32
45.1  38
47.0  41
49.6  31

Unit cell a=5.3802 b=13.3461 c=5.0402 alpha=90.00 beta=90.00 gamma=90.00
Space group Cmcm (No. 63)
One atom of each set of equivalent atoms:
Li 0.0000 0.0446 0.2500 x4
Nb 0.0000 0.3147 0.7500 x4
Pt 0.0000 0.5000 0.0000 x4
Pt 0.2457 0.3438 0.2500 x8



Entry 3:
The following is a theoretical PXRD pattern of Rb2LiNbS4. It was derived from a structure optimized by DFT (PBE), using CuKα.
Intensities are scaled so that the largest is 100.

Top 10 peaks for 2θ from 10° to 90°, by angle:
2θ/deg  I (rel.)
19.7  63
25.5  49
26.9  100
33.1  22
37.2  17
37.7  17
37.8  28
45.4  16
46.3  16
50.3  18

Unit cell a=5.8902 b=13.7983 c=24.2802 alpha=90.00 beta=90.00 gamma=90.00
Space group Fddd (No. 70, origin choice 2)
One atom of each set of equivalent atoms:
Rb 0.1250 0.1250 0.3022 x16
Li 0.1250 0.1250 0.1250 x8
Nb 0.1250 0.1250 0.6250 x8
S 0.1076 0.2786 0.8225 x32